V3Ag: calculated powder X-ray diffraction pattern (CuKα), based on a crystal structure in the Materials Project, relaxed with PBE.
Neutral-atom scattering factors, no anomalous dispersion.

Main lines, low angle first (2θ from 10° to 90°):
| index | 2theta | Rel. int. |
| --- | --- | --- |
| 1 0 0 | 22.91 | 18 |
| 1 1 0 | 32.63 | 15 |
| 1 1 1 | 40.24 | 100 |
| 2 0 0 | 46.81 | 47 |
| 2 1 0 | 52.73 | 8 |
| 2 1 1 | 58.22 | 6 |
| 2 2 0 | 68.36 | 28 |
| 3 0 0 | 73.15 | 4 |
| 3 1 1 | 82.41 | 32 |
| 2 2 2 | 86.95 | 9 |

Cell and atoms:
Unit cell a=3.8815 b=3.8815 c=3.8815 alpha=90.00 beta=90.00 gamma=90.00
Positions (direct):
1 V 0.0000 0.0000 0.5000
2 V 0.0000 0.5000 0.0000
3 V 0.5000 0.0000 0.0000
4 Ag 0.5000 0.5000 0.5000